# 1
Simulated powder XRD pattern
Compound: AcPmSmY
Radiation: Cu Kα, 1.54184 Å
Structure: the GGA-PBE geometry in Alexandria

Crystal structure
a = 3.543 Å, b = 5.858 Å, c = 7.053 Å
α = 90.00°, β = 90.00°, γ = 90.00°
Sites, in units of the cell vectors:
Ac  0.000  0.000  0.000
Pm  0.500  0.500  0.743
Sm  0.000  0.500  0.279
Y  0.000  0.000  0.511

Top 10 peaks for 15 to 90 degrees two-theta, in order of falling intensity:
2θ/deg	I (rel.)
29.57	1000
32.14	506
30.52	474
28.19	297
29.46	267
60.60	264
39.19	258
53.64	241
25.14	206
42.02	205



# 2
Simulated powder XRD pattern
Compound: AcPm2SmY5
Radiation: Cu Kα, 1.54184 Å
Structure: the GGA-PBE geometry in Alexandria

Crystal structure
a = 10.087 Å, b = 10.087 Å, c = 10.087 Å
α = 127.92°, β = 127.92°, γ = 76.75°
Sites, in units of the cell vectors:
Ac  0.250  0.750  0.500
Ac  0.750  0.250  0.500
Pm  0.115  0.615  0.730
Pm  0.385  0.115  0.500
Pm  0.615  0.885  0.500
Pm  0.885  0.385  0.270
Sm  0.250  0.250  0.000
Sm  0.750  0.750  0.000
Y  0.000  0.000  0.000
Y  0.079  0.157  0.500
Y  0.157  0.657  0.078
Y  0.343  0.421  0.500
Y  0.421  0.921  0.078
Y  0.500  0.500  0.000
Y  0.579  0.079  0.922
Y  0.657  0.579  0.500
Y  0.843  0.343  0.922
Y  0.921  0.843  0.500

Top 10 peaks for 15 to 90 degrees two-theta, in order of falling intensity:
2θ/deg	I (rel.)
30.30	1000
28.51	496
28.18	383
42.41	277
51.62	244
37.04	188
33.96	177
45.89	173
47.34	161
54.07	159



# 3
Simulated powder XRD pattern
Compound: AcPm3Sm2Y6
Radiation: Cu Kα, 1.54184 Å
Structure: the GGA-PBE geometry in Alexandria

Crystal structure
a = 6.309 Å, b = 6.309 Å, c = 11.945 Å
α = 95.03°, β = 95.03°, γ = 119.99°
Sites, in units of the cell vectors:
Ac  0.000  0.000  0.000
Pm  0.167  0.833  0.500
Pm  0.500  0.500  0.500
Pm  0.833  0.167  0.500
Sm  0.333  0.667  0.000
Sm  0.667  0.333  0.000
Y  0.085  0.420  0.253
Y  0.251  0.251  0.747
Y  0.420  0.085  0.253
Y  0.580  0.915  0.747
Y  0.749  0.749  0.253
Y  0.915  0.580  0.747

Top 10 peaks for 15 to 90 degrees two-theta, in order of falling intensity:
2θ/deg	I (rel.)
30.08	1000
34.97	667
30.40	323
59.72	281
50.08	240
50.50	233
59.54	143
60.09	138
62.54	122
15.07	122



# 4
Simulated powder XRD pattern
Compound: Ac6PmSn6
Radiation: Cu Kα, 1.54184 Å
Structure: the GGA-PBE geometry in Alexandria

Crystal structure
a = 8.104 Å, b = 8.104 Å, c = 9.396 Å
α = 90.00°, β = 90.00°, γ = 120.00°
Sites, in units of the cell vectors:
Ac  0.000  0.500  0.245
Ac  0.000  0.500  0.755
Ac  0.500  0.000  0.245
Ac  0.500  0.000  0.755
Ac  0.500  0.500  0.245
Ac  0.500  0.500  0.755
Pm  0.000  0.000  0.500
Sn  0.000  0.000  0.162
Sn  0.000  0.000  0.838
Sn  0.333  0.667  0.000
Sn  0.333  0.667  0.500
Sn  0.667  0.333  0.000
Sn  0.667  0.333  0.500

Top 10 peaks for 15 to 90 degrees two-theta, in order of falling intensity:
2θ/deg	I (rel.)
31.83	1000
25.38	820
29.10	504
44.74	457
60.33	236
55.94	211
74.31	187
46.53	176
43.20	176
18.89	159



Please write out number 3 again, unchanged.
Simulated powder XRD pattern
Compound: AcPm3Sm2Y6
Radiation: Cu Kα, 1.54184 Å
Structure: the GGA-PBE geometry in Alexandria

Crystal structure
a = 6.309 Å, b = 6.309 Å, c = 11.945 Å
α = 95.03°, β = 95.03°, γ = 119.99°
Sites, in units of the cell vectors:
Ac  0.000  0.000  0.000
Pm  0.167  0.833  0.500
Pm  0.500  0.500  0.500
Pm  0.833  0.167  0.500
Sm  0.333  0.667  0.000
Sm  0.667  0.333  0.000
Y  0.085  0.420  0.253
Y  0.251  0.251  0.747
Y  0.420  0.085  0.253
Y  0.580  0.915  0.747
Y  0.749  0.749  0.253
Y  0.915  0.580  0.747

Top 10 peaks for 15 to 90 degrees two-theta, in order of falling intensity:
2θ/deg	I (rel.)
30.08	1000
34.97	667
30.40	323
59.72	281
50.08	240
50.50	233
59.54	143
60.09	138
62.54	122
15.07	122



Q: What is the formula in the third record?
A: AcPm3Sm2Y6